Entry 1:
This entry pairs a crystal structure of Dy4Te3S4 with its calculated X-ray diffraction stick pattern. Radiation: Cu Ka. Structure: a structure optimized by DFT (GGA-PBE).

Structure:
abc: 7.712 7.712 6.742
angles: 95.79 95.79 128.09
Positions (direct):
Dy (0.079, 0.401, 0.244)
Dy (0.401, 0.079, 0.244)
Dy (0.599, 0.921, 0.756)
Dy (0.921, 0.599, 0.756)
Te (0.133, 0.133, 0.866)
Te (0.500, 0.500, 0.500)
Te (0.867, 0.867, 0.134)
S (0.217, 0.783, 0.500)
S (0.288, 0.712, 0.000)
S (0.712, 0.288, 0.000)
S (0.783, 0.217, 0.500)

Most intense lines, 2θ = 10–80°, by intensity:
- 28.78 deg, I 100
- 17.94 deg, I 43
- 37.74 deg, I 26
- 25.59 deg, I 23
- 43.24 deg, I 18
- 38.97 deg, I 18

***

Entry 2:
This entry pairs a crystal structure of Dy2TeS2 with its calculated X-ray diffraction stick pattern. Radiation: Cu Ka. Structure: a structure optimized by DFT (GGA-PBE).

Structure:
abc: 7.597 7.597 7.597
angles: 147.85 138.83 53.17
Positions (direct):
Dy (0.166, 0.166, 0.000)
Dy (0.834, 0.834, 0.000)
Te (0.000, 0.500, 0.500)
S (0.294, 0.794, 0.500)
S (0.706, 0.206, 0.500)

Most intense lines, 2θ = 10–80°, by intensity:
- 28.97 deg, I 100
- 17.84 deg, I 94
- 44.90 deg, I 60
- 37.98 deg, I 40
- 30.07 deg, I 37
- 33.55 deg, I 36

***

Entry 3:
This entry pairs a crystal structure of Dy2ZnS4 with its calculated X-ray diffraction stick pattern. Radiation: Cu Ka. Structure: a structure optimized by DFT (GGA-PBE).

Structure:
abc: 13.563 7.922 6.339
angles: 90.00 90.00 90.00
Positions (direct):
Dy (0.000, 0.000, 0.000)
Dy (0.000, 0.500, 0.000)
Dy (0.234, 0.250, 0.495)
Dy (0.266, 0.750, 0.995)
Dy (0.500, 0.000, 0.500)
Dy (0.500, 0.500, 0.500)
Dy (0.734, 0.250, 0.005)
Dy (0.766, 0.750, 0.505)
Zn (0.092, 0.750, 0.411)
Zn (0.408, 0.250, 0.911)
Zn (0.592, 0.750, 0.089)
Zn (0.908, 0.250, 0.589)
S (0.069, 0.250, 0.743)
S (0.090, 0.750, 0.775)
S (0.168, 0.515, 0.244)
S (0.168, 0.985, 0.244)
S (0.332, 0.015, 0.744)
S (0.332, 0.485, 0.744)
S (0.410, 0.250, 0.275)
S (0.431, 0.750, 0.243)
S (0.569, 0.250, 0.757)
S (0.590, 0.750, 0.725)
S (0.668, 0.515, 0.256)
S (0.668, 0.985, 0.256)
S (0.832, 0.015, 0.756)
S (0.832, 0.485, 0.756)
S (0.910, 0.250, 0.225)
S (0.931, 0.750, 0.257)

Most intense lines, 2θ = 10–80°, by intensity:
- 38.73 deg, I 100
- 27.35 deg, I 93
- 26.71 deg, I 82
- 19.09 deg, I 76
- 24.18 deg, I 57
- 46.24 deg, I 50

***

Entry 4:
This entry pairs a crystal structure of DySb2 with its calculated X-ray diffraction stick pattern. Radiation: Cu Ka. Structure: a structure optimized by DFT (GGA-PBE).

Structure:
abc: 3.632 3.632 7.546
angles: 90.00 90.00 121.01
Positions (direct):
Dy (0.000, 0.000, 0.000)
Sb (0.000, 0.500, 0.326)
Sb (0.500, 0.000, 0.674)

Most intense lines, 2θ = 10–80°, by intensity:
- 31.08 deg, I 100
- 37.46 deg, I 54
- 30.66 deg, I 53
- 37.10 deg, I 39
- 35.69 deg, I 38
- 57.05 deg, I 30

***

Entry 5:
This entry pairs a crystal structure of Dy5Sb3 with its calculated X-ray diffraction stick pattern. Radiation: Cu Ka. Structure: a structure optimized by DFT (GGA-PBE).

Structure:
abc: 9.024 9.024 6.260
angles: 90.00 90.00 120.00
Positions (direct):
Dy (0.000, 0.246, 0.250)
Dy (0.000, 0.754, 0.750)
Dy (0.246, 0.000, 0.250)
Dy (0.246, 0.246, 0.750)
Dy (0.333, 0.667, 0.000)
Dy (0.333, 0.667, 0.500)
Dy (0.667, 0.333, 0.000)
Dy (0.667, 0.333, 0.500)
Dy (0.754, 0.000, 0.750)
Dy (0.754, 0.754, 0.250)
Sb (0.000, 0.388, 0.750)
Sb (0.000, 0.612, 0.250)
Sb (0.388, 0.000, 0.750)
Sb (0.388, 0.388, 0.250)
Sb (0.612, 0.000, 0.250)
Sb (0.612, 0.612, 0.750)

Most intense lines, 2θ = 10–80°, by intensity:
- 33.55 deg, I 100
- 34.89 deg, I 82
- 34.43 deg, I 52
- 53.78 deg, I 36
- 30.26 deg, I 34
- 49.83 deg, I 23

***

Entry 6:
This entry pairs a crystal structure of DySb with its calculated X-ray diffraction stick pattern. Radiation: Cu Ka. Structure: a structure optimized by DFT (GGA-PBE).

Structure:
abc: 4.387 4.387 4.387
angles: 60.00 60.00 60.00
Positions (direct):
Dy (0.000, 0.000, 0.000)
Sb (0.500, 0.500, 0.500)

Most intense lines, 2θ = 10–80°, by intensity:
- 28.78 deg, I 100
- 41.15 deg, I 76
- 67.52 deg, I 35
- 50.99 deg, I 27
- 75.00 deg, I 26
- 59.61 deg, I 13

***

Entry 7:
This entry pairs a crystal structure of DySb with its calculated X-ray diffraction stick pattern. Radiation: Cu Ka. Structure: a structure optimized by DFT (GGA-PBE).

Structure:
abc: 3.804 3.804 3.804
angles: 90.00 90.00 90.00
Positions (direct):
Dy (0.000, 0.000, 0.000)
Sb (0.500, 0.500, 0.500)

Most intense lines, 2θ = 10–80°, by intensity:
- 33.31 deg, I 100
- 59.53 deg, I 37
- 47.83 deg, I 18
- 79.73 deg, I 16
- 69.96 deg, I 12
- 23.39 deg, I 2

***

Entry 8:
This entry pairs a crystal structure of DySbTe3 with its calculated X-ray diffraction stick pattern. Radiation: Cu Ka. Structure: a structure optimized by DFT (GGA-PBE).

Structure:
abc: 10.769 10.769 10.769
angles: 23.34 23.34 23.34
Positions (direct):
Dy (0.000, 0.000, 0.000)
Sb (0.203, 0.203, 0.203)
Te (0.386, 0.386, 0.386)
Te (0.605, 0.605, 0.605)
Te (0.818, 0.818, 0.818)

Most intense lines, 2θ = 10–80°, by intensity:
- 27.58 deg, I 100
- 41.46 deg, I 37
- 37.25 deg, I 33
- 50.52 deg, I 19
- 67.34 deg, I 16
- 56.94 deg, I 10

***

Entry 9:
This entry pairs a crystal structure of DyVSb3 with its calculated X-ray diffraction stick pattern. Radiation: Cu Ka. Structure: a structure optimized by DFT (GGA-PBE).

Structure:
abc: 12.835 6.255 5.966
angles: 90.00 90.00 90.00
Positions (direct):
Dy (0.190, 0.004, 0.250)
Dy (0.190, 0.496, 0.750)
Dy (0.810, 0.504, 0.250)
Dy (0.810, 0.996, 0.750)
V (0.400, 0.750, 0.000)
V (0.400, 0.750, 0.500)
V (0.600, 0.250, 0.000)
V (0.600, 0.250, 0.500)
Sb (0.002, 0.750, 0.000)
Sb (0.002, 0.750, 0.500)
Sb (0.273, 0.005, 0.750)
Sb (0.273, 0.495, 0.250)
Sb (0.434, 0.106, 0.250)
Sb (0.434, 0.394, 0.750)
Sb (0.566, 0.606, 0.250)
Sb (0.566, 0.894, 0.750)
Sb (0.727, 0.505, 0.750)
Sb (0.727, 0.995, 0.250)
Sb (0.998, 0.250, 0.000)
Sb (0.998, 0.250, 0.500)

Most intense lines, 2θ = 10–80°, by intensity:
- 34.84 deg, I 100
- 31.83 deg, I 76
- 41.85 deg, I 67
- 33.11 deg, I 58
- 69.42 deg, I 32
- 36.73 deg, I 31

***

Entry 10:
This entry pairs a crystal structure of DyZrSb with its calculated X-ray diffraction stick pattern. Radiation: Cu Ka. Structure: a structure optimized by DFT (GGA-PBE).

Structure:
abc: 8.861 8.861 8.861
angles: 152.07 152.07 39.91
Positions (direct):
Dy (0.177, 0.177, 0.000)
Dy (0.823, 0.823, 0.000)
Zr (0.000, 0.500, 0.500)
Zr (0.500, 0.000, 0.500)
Sb (0.367, 0.367, 0.000)
Sb (0.633, 0.633, 0.000)

Most intense lines, 2θ = 10–80°, by intensity:
- 36.73 deg, I 100
- 31.47 deg, I 96
- 42.27 deg, I 73
- 34.11 deg, I 61
- 29.54 deg, I 48
- 32.24 deg, I 43

***

Entry 11:
This entry pairs a crystal structure of Dy2Sc3Si4 with its calculated X-ray diffraction stick pattern. Radiation: Cu Ka. Structure: a structure optimized by DFT (GGA-PBE).

Structure:
abc: 7.103 14.018 7.391
angles: 90.00 90.00 90.00
Positions (direct):
Dy (0.012, 0.097, 0.175)
Dy (0.012, 0.403, 0.175)
Dy (0.488, 0.597, 0.675)
Dy (0.488, 0.903, 0.675)
Dy (0.512, 0.097, 0.325)
Dy (0.512, 0.403, 0.325)
Dy (0.988, 0.597, 0.825)
Dy (0.988, 0.903, 0.825)
Sc (0.161, 0.750, 0.503)
Sc (0.170, 0.125, 0.677)
Sc (0.170, 0.375, 0.677)
Sc (0.330, 0.625, 0.177)
Sc (0.330, 0.875, 0.177)
Sc (0.339, 0.250, 0.003)
Sc (0.661, 0.750, 0.997)
Sc (0.670, 0.125, 0.823)
Sc (0.670, 0.375, 0.823)
Sc (0.830, 0.625, 0.323)
Sc (0.830, 0.875, 0.323)
Sc (0.839, 0.250, 0.497)
Si (0.033, 0.750, 0.119)
Si (0.157, 0.539, 0.465)
Si (0.157, 0.961, 0.465)
Si (0.214, 0.250, 0.375)
Si (0.286, 0.750, 0.875)
Si (0.343, 0.039, 0.965)
Si (0.343, 0.461, 0.965)
Si (0.467, 0.250, 0.619)
Si (0.533, 0.750, 0.381)
Si (0.657, 0.539, 0.035)
Si (0.657, 0.961, 0.035)
Si (0.714, 0.250, 0.125)
Si (0.786, 0.750, 0.625)
Si (0.843, 0.039, 0.535)
Si (0.843, 0.461, 0.535)
Si (0.967, 0.250, 0.881)

Most intense lines, 2θ = 10–80°, by intensity:
- 33.95 deg, I 100
- 33.39 deg, I 91
- 22.51 deg, I 51
- 13.54 deg, I 39
- 38.68 deg, I 33
- 28.60 deg, I 33

***

Entry 12:
This entry pairs a crystal structure of Dy3Se4 with its calculated X-ray diffraction stick pattern. Radiation: Cu Ka. Structure: a structure optimized by DFT (GGA-PBE).

Structure:
abc: 7.522 7.522 7.522
angles: 109.47 109.47 109.47
Positions (direct):
Dy (0.125, 0.875, 0.250)
Dy (0.250, 0.125, 0.875)
Dy (0.375, 0.625, 0.750)
Dy (0.625, 0.750, 0.375)
Dy (0.750, 0.375, 0.625)
Dy (0.875, 0.250, 0.125)
Se (0.000, 0.143, 0.500)
Se (0.000, 0.643, 0.500)
Se (0.143, 0.500, 0.000)
Se (0.357, 0.357, 0.357)
Se (0.500, 0.000, 0.143)
Se (0.500, 0.000, 0.643)
Se (0.643, 0.500, 0.000)
Se (0.857, 0.857, 0.857)

Most intense lines, 2θ = 10–80°, by intensity:
- 32.60 deg, I 100
- 38.79 deg, I 62
- 25.11 deg, I 34
- 66.34 deg, I 31
- 46.77 deg, I 26
- 53.82 deg, I 21

***

Q: Which formula does entry 8 have?
A: DySbTe3